(1)
For Gd4BC2Br3, a GGA-PBE-relaxed structure gives the theoretical powder X-ray diffraction pattern in this record (λ = 1.5418 Å (Cu Kα)).

```
20
Lattice="9.6937 0.0000 0.0000 0.0000 3.6912 0.0000 -3.5716 0.0000 11.9844" Properties=species:S:1:pos:R:3 pbc="T T T"
Gd -0.2738 0.9228 2.3341
Gd -0.4354 2.7684 5.5111
Gd -0.5292 0.9228 8.7917
Gd 2.4066 2.7684 0.2241
Gd 3.7155 0.9228 11.7604
Gd 6.6513 2.7684 3.1928
Gd 6.5574 0.9228 6.4733
Gd 6.3959 2.7684 9.6503
B -3.1718 0.9228 11.7308
B 9.2939 2.7684 0.2537
C -1.7832 2.7684 7.6086
C -1.9572 0.9228 10.7265
C 8.0792 2.7684 1.2579
C 7.9052 0.9228 4.3758
Br 1.7934 2.7684 3.2440
Br 1.5125 0.9228 6.6585
Br 1.4159 2.7684 10.4023
Br 4.7062 0.9228 1.5822
Br 4.6096 2.7684 5.3259
Br 4.3286 0.9228 8.7405
```

Largest 10 diffraction maxima, sorted by position, 2θ from 10° to 80°:
2θ (°), d/Å, I_rel
28.4, 3.143, 282
28.6, 3.123, 303
30.5, 2.927, 706
31.9, 2.805, 487
33.2, 2.702, 1000
33.5, 2.675, 344
37.3, 2.412, 413
45.1, 2.010, 319
46.3, 1.962, 217
49.4, 1.846, 254

(2)
For CsK2P2Pt3, a GGA-PBE-relaxed structure gives the theoretical powder X-ray diffraction pattern in this record (λ = 1.5418 Å (Cu Kα)).

```
8
Lattice="2.8806 1.6631 7.0400 -2.8806 1.6631 7.0400 0.0000 -3.3262 7.0400" Properties=species:S:1:pos:R:3 pbc="T T T"
Cs 0.0000 0.0000 0.0000
K 0.0000 0.0000 8.7588
K 0.0000 0.0000 12.3613
P 0.0000 0.0000 5.1953
P 0.0000 0.0000 15.9248
Pt -2.8805 0.0000 10.5600
Pt -1.4403 0.8315 3.5200
Pt 1.4403 0.8315 3.5200
```

Largest 10 diffraction maxima, sorted by position, 2θ from 10° to 80°:
2θ (°), d/Å, I_rel
12.6, 7.040, 1000
18.3, 4.856, 418
25.3, 3.520, 319
27.7, 3.224, 407
33.6, 2.666, 306
34.7, 2.582, 195
36.3, 2.477, 323
37.0, 2.428, 538
40.0, 2.256, 487
50.3, 1.813, 259

(3)
For HfZr2Sb4Pd4, a GGA-PBE-relaxed structure gives the theoretical powder X-ray diffraction pattern in this record (λ = 1.5418 Å (Cu Kα)).

```
11
Lattice="-3.1788 3.1788 6.2721 3.1788 -3.1788 6.2721 3.1788 3.1788 -6.2721" Properties=species:S:1:pos:R:3 pbc="T T T"
Hf 0.0000 0.0000 0.0000
Zr 3.1788 0.0000 3.1360
Zr 0.0000 3.1788 3.1360
Sb 3.1788 0.0000 0.0000
Sb 0.0000 0.0000 3.2687
Sb 0.0000 3.1788 0.0000
Sb 0.0000 0.0000 9.2755
Pd 1.5204 1.5204 -1.5942
Pd 1.6584 -1.6584 7.8663
Pd 1.6584 1.6584 4.6778
Pd -1.6584 1.6584 7.8663
```

Largest 10 diffraction maxima, sorted by position, 2θ from 10° to 80°:
2θ (°), d/Å, I_rel
15.6, 5.671, 215
24.4, 3.654, 484
28.1, 3.179, 144
38.3, 2.351, 90
40.1, 2.248, 514
40.4, 2.232, 1000
47.5, 1.914, 150
58.0, 1.589, 169
73.1, 1.295, 330
73.7, 1.286, 157

(4)
For HoErSbCl2, a GGA-PBE-relaxed structure gives the theoretical powder X-ray diffraction pattern in this record (λ = 1.5418 Å (Cu Kα)).

```
5
Lattice="4.1103 0.0000 0.0000 -2.0551 3.5596 0.0000 0.0000 0.0000 10.4374" Properties=species:S:1:pos:R:3 pbc="T T T"
Ho 0.0000 0.0000 0.0000
Er 2.0551 1.1865 6.9048
Sb 0.0000 2.3731 8.6603
Cl 0.0000 0.0000 5.3798
Cl 2.0551 1.1865 1.5411
```

Largest 10 diffraction maxima, sorted by position, 2θ from 10° to 80°:
2θ (°), d/Å, I_rel
26.5, 3.369, 403
30.4, 2.941, 1000
36.1, 2.488, 292
43.0, 2.104, 389
44.1, 2.055, 353
45.0, 2.016, 160
54.5, 1.685, 188
63.2, 1.470, 121
71.0, 1.328, 158
72.6, 1.303, 158

(5)
For Gd2Sc2CI5, a GGA-PBE-relaxed structure gives the theoretical powder X-ray diffraction pattern in this record (λ = 1.5418 Å (Cu Kα)).

```
10
Lattice="10.4601 -1.9469 0.0000 10.4601 1.9469 0.0000 -1.7108 0.0000 8.3867" Properties=species:S:1:pos:R:3 pbc="T T T"
Gd 20.5855 0.0000 1.6188
Gd -1.3761 0.0000 6.7679
Sc 6.5585 0.0000 7.9336
Sc 12.6509 0.0000 0.4530
C 10.4601 0.0000 0.0000
I 2.6308 0.0000 2.6193
I 1.7485 0.0000 7.0232
I 9.6047 0.0000 4.1933
I 17.4608 0.0000 1.3634
I 16.5786 0.0000 5.7673
```

Largest 10 diffraction maxima, sorted by position, 2θ from 10° to 80°:
2θ (°), d/Å, I_rel
21.2, 4.189, 275
23.3, 3.825, 347
26.1, 3.416, 579
31.1, 2.880, 1000
32.0, 2.795, 154
37.3, 2.412, 162
38.5, 2.340, 243
40.9, 2.206, 274
41.1, 2.199, 281
46.7, 1.947, 187

(6)
For Li4Zn2GaPd, a GGA-PBE-relaxed structure gives the theoretical powder X-ray diffraction pattern in this record (λ = 1.5418 Å (Cu Kα)).

```
8
Lattice="4.3041 0.0000 0.0000 0.0000 4.3041 0.0000 0.0000 0.0000 6.1349" Properties=species:S:1:pos:R:3 pbc="T T T"
Li 0.0000 0.0000 0.0000
Li 0.0000 2.1520 1.4988
Li 2.1520 0.0000 4.6361
Li 2.1520 2.1520 3.0674
Zn 0.0000 2.1520 4.6190
Zn 2.1520 0.0000 1.5159
Ga 0.0000 0.0000 3.0674
Pd 2.1520 2.1520 0.0000
```

Largest 10 diffraction maxima, sorted by position, 2θ from 10° to 80°:
2θ (°), d/Å, I_rel
25.3, 3.523, 1000
41.8, 2.160, 655
42.0, 2.152, 324
49.3, 1.847, 157
49.6, 1.837, 309
60.9, 1.522, 104
66.7, 1.402, 122
67.0, 1.397, 60
76.2, 1.249, 103
76.6, 1.244, 204

(7)
For KNdNb2O7, a GGA-PBE-relaxed structure gives the theoretical powder X-ray diffraction pattern in this record (λ = 1.5418 Å (Cu Kα)).

```
22
Lattice="-3.8947 10.3893 1.9694 3.8947 -10.3893 1.9694 3.8947 10.3893 -1.9694" Properties=species:S:1:pos:R:3 pbc="T T T"
K 0.0000 5.0746 0.0000
K 0.0000 15.7039 0.0000
Nd 0.0000 0.0000 0.0495
Nd 0.0000 10.3893 1.9491
Nb 1.9676 8.1736 0.0144
Nb 1.9271 -2.2156 1.9838
Nb 1.9676 12.6049 0.0144
Nb 1.9271 2.2156 1.9838
O 1.8988 1.7387 0.0271
O 5.8906 1.7387 0.0271
O 2.3781 6.4288 -0.0036
O 1.5166 -3.9605 1.9657
O 0.0000 8.0201 0.0910
O 3.8947 8.9264 0.0487
O 1.4876 10.3893 0.0091
O 2.4071 0.0000 1.9784
O 0.0000 1.4629 2.0181
O 0.0000 12.7584 0.0910
O 2.3781 14.3498 -0.0036
O 1.5166 3.9605 1.9657
O -1.9959 8.6506 1.9965
O 1.9959 8.6506 1.9965
```

Largest 10 diffraction maxima, sorted by position, 2θ from 10° to 80°:
2θ (°), d/Å, I_rel
26.0, 3.424, 641
28.6, 3.116, 1000
31.3, 2.859, 557
32.6, 2.745, 834
34.7, 2.588, 231
46.1, 1.969, 267
46.6, 1.947, 218
51.5, 1.773, 390
55.2, 1.665, 313
57.2, 1.609, 261

(8)
For LuGeHO4, a GGA-PBE-relaxed structure gives the theoretical powder X-ray diffraction pattern in this record (λ = 1.5418 Å (Cu Kα)).

```
28
Lattice="7.7036 0.0000 0.0000 0.0000 6.6753 0.0000 -2.6247 0.0000 6.1921" Properties=species:S:1:pos:R:3 pbc="T T T"
Lu 1.3026 0.9485 0.5995
Lu -0.0097 2.3892 3.6955
Lu 5.0886 4.2861 2.4966
Lu 3.7763 5.7268 5.5926
Ge 1.5395 4.0405 0.7667
Ge 0.2272 5.9724 3.8627
Ge 4.8517 0.7029 2.3293
Ge 3.5394 2.6348 5.4254
H 1.3363 4.6227 5.5076
H 2.6486 5.3902 2.4116
H 2.4303 1.2851 3.7805
H 3.7426 2.0525 0.6845
O -0.6295 4.5334 3.3938
O 0.6828 5.4795 0.2978
O -0.6252 0.5348 4.7528
O 0.6871 2.8029 1.6567
O 1.0118 0.3212 2.6767
O -0.3005 3.0165 5.7728
O 2.9022 4.6299 1.8330
O 1.5898 5.3830 4.9290
O 3.4891 1.2922 1.2631
O 2.1767 2.0454 4.3591
O 5.3794 3.6588 0.4193
O 4.0671 6.3541 3.5154
O 4.3918 3.8724 4.5354
O 5.7041 6.1405 1.4393
O 4.3961 1.1958 5.8943
O 5.7084 2.1419 2.7983
```

Largest 10 diffraction maxima, sorted by position, 2θ from 10° to 80°:
2θ (°), d/Å, I_rel
12.5, 7.093, 256
18.3, 4.861, 516
25.1, 3.546, 891
26.5, 3.358, 1000
30.4, 2.938, 456
30.7, 2.912, 538
35.2, 2.552, 495
35.9, 2.502, 781
53.7, 1.707, 290
55.3, 1.660, 284

(9)
For Hf3As4P4, a GGA-PBE-relaxed structure gives the theoretical powder X-ray diffraction pattern in this record (λ = 1.5418 Å (Cu Kα)).

```
11
Lattice="6.9109 0.0000 0.0000 0.0000 3.5336 0.0000 -0.3466 0.0000 8.6300" Properties=species:S:1:pos:R:3 pbc="T T T"
Hf 0.0000 0.0000 0.0000
Hf 1.4341 1.7668 4.1805
Hf 3.0824 0.0000 8.2068
As 1.8459 1.7668 1.2615
As 3.7533 0.0000 3.6103
As 4.9527 1.7668 7.0729
As 6.1117 0.0000 4.6671
P 0.2901 0.0000 2.6024
P 1.2868 1.7668 7.0799
P 2.6552 0.0000 5.6543
P 5.0851 1.7668 0.8609
```

Largest 10 diffraction maxima, sorted by position, 2θ from 10° to 80°:
2θ (°), d/Å, I_rel
20.6, 4.315, 702
27.4, 3.251, 201
30.4, 2.938, 244
35.0, 2.564, 250
36.4, 2.470, 1000
40.0, 2.255, 329
40.4, 2.231, 478
41.6, 2.169, 276
42.7, 2.117, 289
51.7, 1.767, 241

(10)
For Ta3SnS6, a GGA-PBE-relaxed structure gives the theoretical powder X-ray diffraction pattern in this record (λ = 1.5418 Å (Cu Kα)).

```
20
Lattice="5.7922 0.0000 0.0000 -2.8961 5.0162 0.0000 0.0000 0.0000 14.6419" Properties=species:S:1:pos:R:3 pbc="T T T"
Ta 0.0000 0.0000 3.6605
Ta 0.0000 0.0000 10.9814
Ta 0.0000 3.3441 3.6605
Ta 0.0000 3.3441 10.9814
Ta 2.8961 1.6720 3.6605
Ta 2.8961 1.6720 10.9814
Sn 0.0000 0.0000 0.0000
Sn 0.0000 0.0000 7.3210
S -0.9721 1.6838 2.0960
S -0.9721 1.6838 5.2249
S -1.9240 3.3324 9.4170
S -1.9240 3.3324 12.5459
S 1.9442 0.0000 2.0960
S 1.9442 0.0000 5.2249
S 0.9721 1.6838 9.4170
S 0.9721 1.6838 12.5459
S 3.8479 0.0000 9.4170
S 3.8479 0.0000 12.5459
S 1.9240 3.3324 2.0960
S 1.9240 3.3324 5.2249
```

Largest 10 diffraction maxima, sorted by position, 2θ from 10° to 80°:
2θ (°), d/Å, I_rel
12.1, 7.321, 1000
24.3, 3.660, 205
30.9, 2.896, 480
33.3, 2.693, 391
39.7, 2.271, 880
48.8, 1.866, 197
54.9, 1.672, 220
59.8, 1.547, 177
69.9, 1.347, 167
77.3, 1.234, 137

(11)
For Hf2O5, a GGA-PBE-relaxed structure gives the theoretical powder X-ray diffraction pattern in this record (λ = 1.5418 Å (Cu Kα)).

```
7
Lattice="3.1899 0.0000 0.0000 0.7046 4.8984 0.0000 0.5107 1.8848 5.3101" Properties=species:S:1:pos:R:3 pbc="T T T"
Hf 0.0000 0.0000 0.0000
Hf 1.9275 2.6384 2.5155
O 0.3402 1.2812 1.7849
O 1.1202 1.7842 0.5898
O 2.7681 6.1814 4.1130
O 2.4114 4.0900 1.2316
O 3.5618 3.2545 3.6280
```

Largest 10 diffraction maxima, sorted by position, 2θ from 10° to 80°:
2θ (°), d/Å, I_rel
19.2, 4.616, 400
20.9, 4.260, 1000
29.6, 3.019, 491
32.4, 2.765, 543
32.8, 2.731, 262
33.7, 2.658, 694
36.4, 2.471, 295
41.1, 2.194, 183
47.9, 1.898, 277
60.1, 1.539, 172

(12)
For Tb3InS6, a GGA-PBE-relaxed structure gives the theoretical powder X-ray diffraction pattern in this record (λ = 1.5418 Å (Cu Kα)).

```
40
Lattice="13.5114 0.0000 0.0000 0.0000 16.5776 0.0000 0.0000 0.0000 3.8755" Properties=species:S:1:pos:R:3 pbc="T T T"
Tb 0.4802 3.7195 0.9641
Tb 2.5957 10.6764 0.9613
Tb 3.3540 6.4747 0.9280
Tb 3.4017 14.7635 2.9474
Tb 4.1600 2.3877 2.9142
Tb 6.2755 12.0083 2.9114
Tb 7.2359 4.5693 2.9114
Tb 9.3514 14.1899 2.9142
Tb 10.1097 1.8140 2.9474
Tb 10.1574 10.1028 0.9280
Tb 10.9157 5.9011 0.9613
Tb 13.0312 12.8581 0.9641
In 0.0000 0.0000 3.3000
In 0.0000 8.2888 2.8920
In 6.7557 0.0000 0.9834
In 6.7557 8.2888 0.5755
S 0.2671 6.5497 0.9547
S 1.3631 15.0764 1.0292
S 1.4539 1.9406 2.9078
S 1.5682 12.3370 2.9048
S 2.4104 4.7131 2.8778
S 2.6107 8.6081 2.8921
S 4.1450 0.3193 0.9834
S 4.3453 13.0019 0.9977
S 5.1875 4.0482 0.9707
S 5.3018 10.2294 0.9677
S 5.3926 6.7876 2.8462
S 6.4886 14.8385 2.9208
S 7.0228 1.7391 2.9208
S 8.1188 9.7899 2.8462
S 8.2097 6.3482 0.9677
S 8.3239 12.5293 0.9707
S 9.1661 3.5756 0.9977
S 9.3664 16.2583 0.9834
S 10.9007 7.9695 2.8921
S 11.1010 11.8644 2.8778
S 11.9432 4.2406 2.9048
S 12.0575 14.6369 2.9078
S 12.1483 1.5011 1.0292
S 13.2443 10.0279 0.9547
```

Largest 10 diffraction maxima, sorted by position, 2θ from 10° to 80°:
2θ (°), d/Å, I_rel
25.2, 3.533, 1000
26.2, 3.398, 535
27.1, 3.295, 313
31.1, 2.872, 384
32.3, 2.769, 346
34.6, 2.594, 423
35.6, 2.519, 474
41.1, 2.197, 308
44.9, 2.020, 337
46.9, 1.938, 312